The following is a calculated X-ray powder pattern of SrHgBr. It was derived from a GGA-PBE-relaxed structure, using Cu Kα (weighted mean of Kα1 and Kα2).
Lines closer than 0.1° are merged.

Peak list (12 most intense, 2θ = 15–90°, by angle)
hkl	2theta	d (Å)	I/Imax
0 0 5	15.88	5.582	14
1 0 0	23.41	3.800	49
0 1 1	23.63	3.765	13
0 1 2	24.27	3.667	12
0 1 6	30.37	2.943	100
0 1 7	32.55	2.751	23
1 0 8	34.91	2.570	15
1 1 0	41.14	2.194	45
1 0 12	45.73	1.984	13
2 0 6	51.99	1.759	22
1 2 6	68.35	1.372	20
3 0 0	74.99	1.267	11

Structure:
```
SrHgBr
1.0
4.3881 0.0000 0.0000
-2.1940 3.8002 0.0000
0.0000 0.0000 27.9119
Sr Hg Br
4 4 4
Cartesian
0.0000 2.5335 2.9359
0.0000 2.5335 17.5187
2.1940 1.2667 10.3932
2.1940 1.2667 24.9760
0.0000 2.5335 22.7104
0.0000 2.5335 27.0839
2.1940 1.2667 0.8280
2.1940 1.2667 5.2014
0.0000 2.5335 8.5978
0.0000 2.5335 12.1921
2.1940 1.2667 15.7198
2.1940 1.2667 19.3140
```